The following is a simulated X-ray powder pattern of La2NdTmHg2. It was derived from a cell relaxed with PBE, using λ = 1.5418 Å (Cu Kα).

Atomic structure:
a = 5.169 Å, b = 9.647 Å, c = 7.368 Å
α = 90.00°, β = 90.00°, γ = 90.00°
Space group Pmc2_1 (No. 26)
Symmetry-distinct sites (fractional):
La1 0.000 0.059 0.000 [2 per cell]
La2 0.500 0.171 0.316 [2 per cell]
Nd1 0.500 0.443 0.972 [2 per cell]
Tm1 0.000 0.325 0.651 [2 per cell]
Hg1 0.000 0.368 0.236 [2 per cell]
Hg2 0.500 0.161 0.745 [2 per cell]

Largest 10 diffraction maxima, in order of rising 2θ, 10° ≤ 2θ ≤ 90°:
2θ 28.05, I 37, hkl 1 2 1
2θ 29.78, I 19, hkl 1 0 2
2θ 30.53, I 26, hkl 0 2 2
2θ 31.22, I 100, hkl 1 1 2
2θ 32.80, I 84, hkl 1 3 0
2θ 34.71, I 56, hkl 2 0 0
2θ 41.19, I 35, hkl 0 2 3
2θ 46.89, I 16, hkl 2 2 2
2θ 56.35, I 20, hkl 1 4 3
2θ 60.05, I 16, hkl 3 1 2



The following is a simulated X-ray powder pattern of Pr4SmDy4. It was derived from a cell relaxed with PBE, using λ = 1.5418 Å (Cu Kα).

Atomic structure:
a = 3.637 Å, b = 6.247 Å, c = 14.075 Å
α = 89.96°, β = 82.62°, γ = 73.11°
Space group P-1 (No. 2)
Symmetry-distinct sites (fractional):
Pr1 0.001 0.336 0.164 [2 per cell]
Pr2 0.333 0.448 0.387 [2 per cell]
Sm1 0.000 0.000 0.500 [1 per cell]
Dy1 0.331 0.782 0.056 [2 per cell]
Dy2 0.333 0.108 0.725 [2 per cell]

Largest 10 diffraction maxima, in order of rising 2θ, 10° ≤ 2θ ≤ 90°:
2θ 30.13, I 100, hkl 1 0 3
2θ 30.37, I 33, hkl 0 2 -1
2θ 35.00, I 67, hkl 1 2 2
2θ 50.17, I 16, hkl 2 1 1
2θ 50.45, I 16, hkl 1 3 -3
2θ 59.72, I 24, hkl 2 2 5
2θ 59.82, I 10, hkl 2 3 0
2θ 60.04, I 9, hkl 1 -3 0
2θ 62.61, I 8, hkl 2 0 6
2θ 81.62, I 10, hkl 3 1 4